(1)
This entry pairs a crystal structure of BaBOF3 with its computed powder XRD pattern. Radiation: Cu Ka. Structure: a crystal structure in the Materials Project, relaxed with PBE.
Lines closer than 0.1° are merged.

The 8 most intense peaks (10° ≤ 2θ ≤ 90°), in order of rising 2θ:
21.39 deg, d 4.155, rel. 76
25.65 deg, d 3.474, rel. 94
27.37 deg, d 3.258, rel. 52
28.74 deg, d 3.107, rel. 100
40.69 deg, d 2.217, rel. 40
42.39 deg, d 2.132, rel. 41
43.88 deg, d 2.063, rel. 52
44.69 deg, d 2.028, rel. 42

Cell and atoms:
```
data_BaBOF3
_chemical_formula_sum 'Ba4 B4 O4 F12'
_cell_length_a 9.357
_cell_length_b 5.182
_cell_length_c 6.952
_cell_angle_alpha 90.00
_cell_angle_beta 90.00
_cell_angle_gamma 90.00
_space_group_name_H-M_alt 'P n m a'
_space_group_IT_number 62
loop_
_space_group_symop_operation_xyz
'x,y,z'
'-x,-y,-z'
'-x+1/2,-y,z+1/2'
'x+1/2,y,-z+1/2'
'x+1/2,-y+1/2,-z+1/2'
'-x+1/2,y+1/2,z+1/2'
'-x,y+1/2,-z'
'x,-y+1/2,z'
loop_
_atom_site_label
_atom_site_type_symbol
_atom_site_fract_x
_atom_site_fract_y
_atom_site_fract_z
Ba1 Ba 0.192 0.250 0.176
B1 B 0.079 0.250 0.676
O1 O 0.196 0.250 0.563
F1 F 0.063 0.750 0.411
F2 F 0.071 0.026 0.815
```

(2)
This entry pairs a crystal structure of Tb2Pd2Pb with its computed powder XRD pattern. Radiation: Cu Ka. Structure: a crystal structure in the Materials Project, relaxed with PBE.
Lines closer than 0.1° are merged.

The 8 most intense peaks (10° ≤ 2θ ≤ 90°), in order of rising 2θ:
31.72 deg, d 2.821, rel. 20
33.45 deg, d 2.679, rel. 56
35.34 deg, d 2.540, rel. 100
35.58 deg, d 2.523, rel. 71
50.49 deg, d 1.807, rel. 17
55.04 deg, d 1.668, rel. 16
63.29 deg, d 1.469, rel. 27
64.94 deg, d 1.436, rel. 19

Cell and atoms:
```
data_Tb2Pd2Pb
_chemical_formula_sum 'Tb4 Pd4 Pb2'
_cell_length_a 7.979
_cell_length_b 7.979
_cell_length_c 3.615
_cell_angle_alpha 90.00
_cell_angle_beta 90.00
_cell_angle_gamma 90.00
_space_group_name_H-M_alt 'P 4/m b m'
_space_group_IT_number 127
_space_group_name_Hall '-P 4 2ab'
loop_
_atom_site_label
_atom_site_type_symbol
_atom_site_fract_x
_atom_site_fract_y
_atom_site_fract_z
Tb1 Tb 0.172 0.328 0.000
Pd1 Pd 0.125 0.625 0.500
Pb1 Pb 0.000 0.000 0.500
```

(3)
This entry pairs a crystal structure of TiAlV2 with its computed powder XRD pattern. Radiation: Cu Ka. Structure: a crystal structure in the Materials Project, relaxed with PBE.
Lines closer than 0.1° are merged.

The 8 most intense peaks (10° ≤ 2θ ≤ 90°), in order of rising 2θ:
10.29 deg, d 8.595, rel. 24
40.87 deg, d 2.208, rel. 100
41.67 deg, d 2.168, rel. 24
42.05 deg, d 2.149, rel. 22
60.69 deg, d 1.526, rel. 13
75.51 deg, d 1.259, rel. 14
76.04 deg, d 1.252, rel. 12
88.58 deg, d 1.104, rel. 9

Cell and atoms:
```
data_TiAlV2
_chemical_formula_sum 'Ti2 Al2 V4'
_cell_length_a 3.198
_cell_length_b 4.335
_cell_length_c 8.595
_cell_angle_alpha 90.00
_cell_angle_beta 90.00
_cell_angle_gamma 90.00
_space_group_name_H-M_alt 'C m m 2'
_space_group_IT_number 35
loop_
_space_group_symop_operation_xyz
'x,y,z'
'-x,-y,z'
'-x,y,z'
'x,-y,z'
'x+1/2,y+1/2,z'
'-x+1/2,-y+1/2,z'
'-x+1/2,y+1/2,z'
'x+1/2,-y+1/2,z'
loop_
_atom_site_label
_atom_site_type_symbol
_atom_site_fract_x
_atom_site_fract_y
_atom_site_fract_z
Ti1 Ti 0.000 0.000 0.000
Al1 Al 0.000 0.500 0.728
V1 V 0.000 0.000 0.479
V2 V 0.000 0.500 0.248
```

(4)
This entry pairs a crystal structure of Dy2SeO2 with its computed powder XRD pattern. Radiation: Cu Ka. Structure: a crystal structure in the Materials Project, relaxed with PBE.
Lines closer than 0.1° are merged.

The 8 most intense peaks (10° ≤ 2θ ≤ 90°), in order of rising 2θ:
26.11 deg, d 3.413, rel. 12
29.86 deg, d 2.992, rel. 100
37.75 deg, d 2.383, rel. 41
47.29 deg, d 1.922, rel. 33
48.46 deg, d 1.878, rel. 16
56.94 deg, d 1.617, rel. 17
63.34 deg, d 1.468, rel. 15
77.07 deg, d 1.237, rel. 14

Cell and atoms:
```
data_Dy2SeO2
_chemical_formula_sum 'Dy2 Se1 O2'
_cell_length_a 3.8440
_cell_length_b 3.8440
_cell_length_c 6.8259
_cell_angle_alpha 90.00
_cell_angle_beta 90.00
_cell_angle_gamma 120.00
_space_group_name_H-M_alt 'P -3 m 1'
_space_group_IT_number 164
_space_group_name_Hall '-P 3 2"'
loop_
_atom_site_label
_atom_site_type_symbol
_atom_site_fract_x
_atom_site_fract_y
_atom_site_fract_z
Dy1 Dy 0.3333 0.6667 0.2909
Se1 Se 0.0000 0.0000 0.0000
O1 O 0.3333 0.6667 0.6260
```

(5)
This entry pairs a crystal structure of Zr6Ga16Pt7 with its computed powder XRD pattern. Radiation: Cu Ka. Structure: a crystal structure in the Materials Project, relaxed with PBE.
Lines closer than 0.1° are merged.

The 8 most intense peaks (10° ≤ 2θ ≤ 90°), in order of rising 2θ:
24.62 deg, d 3.616, rel. 35
35.10 deg, d 2.557, rel. 15
37.30 deg, d 2.411, rel. 28
40.75 deg, d 2.214, rel. 100
48.19 deg, d 1.888, rel. 39
64.90 deg, d 1.437, rel. 14
74.17 deg, d 1.278, rel. 18
79.52 deg, d 1.205, rel. 16

Cell and atoms:
```
data_Zr6Ga16Pt7
_chemical_formula_sum 'Zr24 Ga64 Pt28'
_cell_length_a 12.526
_cell_length_b 12.526
_cell_length_c 12.526
_cell_angle_alpha 90.00
_cell_angle_beta 90.00
_cell_angle_gamma 90.00
_space_group_name_H-M_alt 'F m -3 m'
_space_group_IT_number 225
_space_group_name_Hall '-F 4 2 3'
loop_
_atom_site_label
_atom_site_type_symbol
_atom_site_fract_x
_atom_site_fract_y
_atom_site_fract_z
Zr1 Zr 0.000 0.000 0.189
Ga1 Ga 0.120 0.120 0.380
Ga2 Ga 0.161 0.161 0.161
Pt1 Pt 0.000 0.000 0.500
Pt2 Pt 0.000 0.250 0.250
```

(6)
This entry pairs a crystal structure of BiSe with its computed powder XRD pattern. Radiation: Cu Ka. Structure: a crystal structure in the Materials Project, relaxed with PBE.
Lines closer than 0.1° are merged.

The 8 most intense peaks (10° ≤ 2θ ≤ 90°), in order of rising 2θ:
18.36 deg, d 4.832, rel. 17
24.42 deg, d 3.646, rel. 16
28.36 deg, d 3.147, rel. 100
38.53 deg, d 2.336, rel. 36
42.46 deg, d 2.129, rel. 37
51.84 deg, d 1.764, rel. 19
63.61 deg, d 1.463, rel. 12
69.17 deg, d 1.358, rel. 17

Cell and atoms:
```
data_BiSe
_chemical_formula_sum 'Bi6 Se6'
_cell_length_a 4.2583
_cell_length_b 4.2583
_cell_length_c 24.1594
_cell_angle_alpha 90.00
_cell_angle_beta 90.00
_cell_angle_gamma 120.00
_space_group_name_H-M_alt 'P -3 m 1'
_space_group_IT_number 164
_space_group_name_Hall '-P 3 2"'
loop_
_atom_site_label
_atom_site_type_symbol
_atom_site_fract_x
_atom_site_fract_y
_atom_site_fract_z
Bi1 Bi 0.0000 0.0000 0.1285
Bi2 Bi 0.3333 0.6667 0.4629
Bi3 Bi 0.3333 0.6667 0.7140
Se1 Se 0.0000 0.0000 0.3507
Se2 Se 0.3333 0.6667 0.2083
Se3 Se 0.3333 0.6667 0.9343
```

(7)
This entry pairs a crystal structure of PbC4N6 with its computed powder XRD pattern. Radiation: Cu Ka. Structure: a crystal structure in the Materials Project, relaxed with PBE.
Lines closer than 0.1° are merged.

The 8 most intense peaks (10° ≤ 2θ ≤ 90°), in order of rising 2θ:
12.94 deg, d 6.843, rel. 81
15.94 deg, d 5.560, rel. 100
24.05 deg, d 3.700, rel. 45
24.39 deg, d 3.650, rel. 33
29.35 deg, d 3.043, rel. 25
31.90 deg, d 2.806, rel. 30
33.91 deg, d 2.644, rel. 34
34.30 deg, d 2.614, rel. 30

Cell and atoms:
```
data_PbC4N6
_chemical_formula_sum 'Pb4 C16 N24'
_cell_length_a 13.686
_cell_length_b 4.051
_cell_length_c 12.171
_cell_angle_alpha 90.00
_cell_angle_beta 90.00
_cell_angle_gamma 90.00
_space_group_name_H-M_alt 'P n m a'
_space_group_IT_number 62
loop_
_space_group_symop_operation_xyz
'x,y,z'
'-x,-y,-z'
'-x+1/2,-y,z+1/2'
'x+1/2,y,-z+1/2'
'x+1/2,-y+1/2,-z+1/2'
'-x+1/2,y+1/2,z+1/2'
'-x,y+1/2,-z'
'x,-y+1/2,z'
loop_
_atom_site_label
_atom_site_type_symbol
_atom_site_fract_x
_atom_site_fract_y
_atom_site_fract_z
Pb1 Pb 0.216 0.250 0.120
C1 C 0.001 0.750 0.646
C2 C 0.018 0.250 0.891
C3 C 0.155 0.250 0.424
C4 C 0.174 0.250 0.823
N1 N 0.068 0.750 0.112
N2 N 0.087 0.750 0.643
N3 N 0.094 0.250 0.343
N4 N 0.112 0.250 0.903
N5 N 0.217 0.250 0.492
N6 N 0.237 0.250 0.756
```

(8)
This entry pairs a crystal structure of LaTe2Se with its computed powder XRD pattern. Radiation: Cu Ka. Structure: a crystal structure in the Materials Project, relaxed with PBE.
Lines closer than 0.1° are merged.

The 8 most intense peaks (10° ≤ 2θ ≤ 90°), in order of rising 2θ:
13.25 deg, d 6.681, rel. 14
26.69 deg, d 3.340, rel. 38
30.82 deg, d 2.901, rel. 100
33.68 deg, d 2.661, rel. 32
37.61 deg, d 2.392, rel. 33
41.56 deg, d 2.173, rel. 21
41.69 deg, d 2.166, rel. 21
47.75 deg, d 1.905, rel. 15

Cell and atoms:
```
data_LaTe2Se
_chemical_formula_sum 'La4 Te8 Se4'
_cell_length_a 4.333
_cell_length_b 26.723
_cell_length_c 4.346
_cell_angle_alpha 90.00
_cell_angle_beta 90.00
_cell_angle_gamma 90.00
_space_group_name_H-M_alt 'C m c m'
_space_group_IT_number 63
_space_group_name_Hall '-C 2c 2'
loop_
_atom_site_label
_atom_site_type_symbol
_atom_site_fract_x
_atom_site_fract_y
_atom_site_fract_z
La1 La 0.000 0.180 0.250
Te1 Te 0.000 0.080 0.750
Te2 Te 0.000 0.421 0.750
Se1 Se 0.000 0.295 0.250
```

(9)
This entry pairs a crystal structure of Rb2PrO3 with its computed powder XRD pattern. Radiation: Cu Ka. Structure: a crystal structure in the Materials Project, relaxed with PBE.
Lines closer than 0.1° are merged.

The 8 most intense peaks (10° ≤ 2θ ≤ 90°), in order of rising 2θ:
14.27 deg, d 6.209, rel. 13
27.68 deg, d 3.223, rel. 60
28.30 deg, d 3.153, rel. 55
32.43 deg, d 2.761, rel. 100
46.53 deg, d 1.952, rel. 44
54.62 deg, d 1.680, rel. 21
55.69 deg, d 1.650, rel. 18
77.29 deg, d 1.234, rel. 17

Cell and atoms:
```
data_Rb2PrO3
_chemical_formula_sum 'Rb32 Pr16 O48'
_cell_length_a 7.942
_cell_length_b 11.037
_cell_length_c 23.056
_cell_angle_alpha 90.00
_cell_angle_beta 90.00
_cell_angle_gamma 90.00
_space_group_name_H-M_alt 'F d d d'
_space_group_IT_number 70
loop_
_space_group_symop_operation_xyz
'x,y,z'
'-x,-y,-z'
'-x+1/4,-y+1/4,z'
'x+1/4,y+1/4,-z'
'x,-y+1/4,-z+1/4'
'-x,y+1/4,z+1/4'
'-x+1/4,y,-z+1/4'
'x+1/4,-y,z+1/4'
'x,y+1/2,z+1/2'
'-x,-y+1/2,-z+1/2'
'-x+1/4,-y+3/4,z+1/2'
'x+1/4,y+3/4,-z+1/2'
'x,-y+3/4,-z+3/4'
'-x,y+3/4,z+3/4'
'-x+1/4,y+1/2,-z+3/4'
'x+1/4,-y+1/2,z+3/4'
'x+1/2,y,z+1/2'
'-x+1/2,-y,-z+1/2'
'-x+3/4,-y+1/4,z+1/2'
'x+3/4,y+1/4,-z+1/2'
'x+1/2,-y+1/4,-z+3/4'
'-x+1/2,y+1/4,z+3/4'
'-x+3/4,y,-z+3/4'
'x+3/4,-y,z+3/4'
'x+1/2,y+1/2,z'
'-x+1/2,-y+1/2,-z'
'-x+3/4,-y+3/4,z'
'x+3/4,y+3/4,-z'
'x+1/2,-y+3/4,-z+1/4'
'-x+1/2,y+3/4,z+1/4'
'-x+3/4,y+1/2,-z+1/4'
'x+3/4,-y+1/2,z+1/4'
loop_
_atom_site_label
_atom_site_type_symbol
_atom_site_fract_x
_atom_site_fract_y
_atom_site_fract_z
Rb1 Rb 0.125 0.125 0.047
Rb2 Rb 0.125 0.125 0.371
Pr1 Pr 0.125 0.125 0.539
O1 O 0.054 0.375 0.875
O2 O 0.105 0.345 0.723
```

(10)
This entry pairs a crystal structure of Nd3Cu3Sb4 with its computed powder XRD pattern. Radiation: Cu Ka. Structure: a crystal structure in the Materials Project, relaxed with PBE.
Lines closer than 0.1° are merged.

The 8 most intense peaks (10° ≤ 2θ ≤ 90°), in order of rising 2θ:
28.89 deg, d 3.090, rel. 51
34.34 deg, d 2.611, rel. 100
41.32 deg, d 2.185, rel. 34
45.48 deg, d 1.995, rel. 17
47.44 deg, d 1.916, rel. 11
58.20 deg, d 1.585, rel. 17
59.87 deg, d 1.545, rel. 13
70.87 deg, d 1.330, rel. 14

Cell and atoms:
```
data_Nd3Cu3Sb4
_chemical_formula_sum 'Nd12 Cu12 Sb16'
_cell_length_a 9.771
_cell_length_b 9.771
_cell_length_c 9.771
_cell_angle_alpha 90.00
_cell_angle_beta 90.00
_cell_angle_gamma 90.00
_space_group_name_H-M_alt 'I -4 3 d'
_space_group_IT_number 220
_space_group_name_Hall 'I -4bd 2c 3'
loop_
_atom_site_label
_atom_site_type_symbol
_atom_site_fract_x
_atom_site_fract_y
_atom_site_fract_z
Nd1 Nd 0.000 0.250 0.375
Cu1 Cu 0.000 0.250 0.875
Sb1 Sb 0.080 0.080 0.080
```

(11)
This entry pairs a crystal structure of MgGaH4 with its computed powder XRD pattern. Radiation: Cu Ka. Structure: a crystal structure in the Materials Project, relaxed with PBE.
Lines closer than 0.1° are merged.

The 8 most intense peaks (10° ≤ 2θ ≤ 90°), in order of rising 2θ:
16.93 deg, d 5.236, rel. 100
21.62 deg, d 4.111, rel. 52
23.59 deg, d 3.772, rel. 38
25.79 deg, d 3.454, rel. 60
28.02 deg, d 3.185, rel. 95
28.35 deg, d 3.148, rel. 42
30.04 deg, d 2.975, rel. 77
35.17 deg, d 2.552, rel. 39

Cell and atoms:
```
data_MgGaH4
_chemical_formula_sum 'Mg4 Ga4 H16'
_cell_length_a 6.002
_cell_length_b 6.950
_cell_length_c 9.372
_cell_angle_alpha 90.00
_cell_angle_beta 121.84
_cell_angle_gamma 90.00
_space_group_name_H-M_alt 'P 1 21/c 1'
_space_group_IT_number 14
loop_
_space_group_symop_operation_xyz
'x,y,z'
'-x,-y,-z'
'-x,y+1/2,-z+1/2'
'x,-y+1/2,z+1/2'
loop_
_atom_site_label
_atom_site_type_symbol
_atom_site_fract_x
_atom_site_fract_y
_atom_site_fract_z
Mg1 Mg 0.007 0.134 0.257
Ga1 Ga 0.352 0.623 0.112
H1 H 0.080 0.113 0.820
H2 H 0.244 0.079 0.516
H3 H 0.257 0.689 0.495
H4 H 0.339 0.119 0.254
```